Calculated powder diffraction line list of Li2CaHBrF for Cu Kα (λ = 1.5418 Å), from DFT lattice parameters and positions (PBE).
Neutral-atom scattering factors, no anomalous dispersion.

Structure:
```
data_Li2CaHBrF
_cell_length_a 3.7629
_cell_length_b 4.0083
_cell_length_c 14.3852
_cell_angle_alpha 90.00
_cell_angle_beta 90.00
_cell_angle_gamma 90.00
_symmetry_space_group_name_H-M 'A m m 2'
_symmetry_Int_Tables_number 38
loop_
_symmetry_equiv_pos_as_xyz
'x,y,z'
'-x,-y,z'
'-x,y,z'
'x,-y,z'
'x,y+1/2,z+1/2'
'-x,-y+1/2,z+1/2'
'-x,y+1/2,z+1/2'
'x,-y+1/2,z+1/2'
loop_
_atom_site_label
_atom_site_type_symbol
_atom_site_fract_x
_atom_site_fract_y
_atom_site_fract_z
Li1 Li 0.0000 0.0000 0.0000
Li2 Li 0.0000 0.0000 0.3513
Ca1 Ca 0.5000 0.0000 0.7286
H1 H 0.0000 0.0000 0.8588
Br1 Br 0.5000 0.0000 0.5180
F1 F 0.5000 0.0000 0.2958
```

Main lines, in order of falling intensity (5° ≤ 2θ ≤ 70°):
(hkl)	two_theta	d_spacing	I/Imax
0 1 1	23.0	3.861	100
1 0 0	23.6	3.763	93
1 1 1	33.2	2.695	89
0 0 4	24.8	3.596	72
1 1 5	45.7	1.985	65
1 0 4	34.5	2.600	58
0 1 5	38.5	2.337	51
1 2 4	58.1	1.587	23